Entry 1:
# CsK2CrS4
Theoretical PXRD pattern, a wavelength of 1.5418 Å. Input: a structure optimized by DFT (GGA-PBE).

Principal peaks in the range 2θ from 15° to 90°, sorted by position:
| d_spacing | Position (°2θ) | I (rel.) |
| --- | --- | --- |
| 5.532 | 16.02 | 40.0 |
| 3.912 | 22.73 | 38.7 |
| 3.445 | 25.86 | 100.0 |
| 3.251 | 27.43 | 33.8 |
| 2.766 | 32.37 | 29.8 |
| 2.157 | 41.89 | 51.0 |

Crystal structure
```
data_CsK2CrS4
_chemical_formula_sum 'Cs1 K2 Cr1 S4'
_cell_length_a 7.070
_cell_length_b 7.070
_cell_length_c 7.070
_cell_angle_alpha 112.81
_cell_angle_beta 112.81
_cell_angle_gamma 102.97
_symmetry_space_group_name_H-M 'P 1'
_symmetry_Int_Tables_number 1
loop_
_symmetry_equiv_pos_as_xyz
'x,y,z'
loop_
_atom_site_label
_atom_site_type_symbol
_atom_site_fract_x
_atom_site_fract_y
_atom_site_fract_z
Cs1 Cs 0.000 0.000 0.000
K1 K 0.250 0.750 0.500
K2 K 0.750 0.250 0.500
Cr1 Cr 0.500 0.500 0.000
S1 S 0.204 0.523 0.000
S2 S 0.477 0.477 0.681
S3 S 0.523 0.204 0.000
S4 S 0.796 0.796 0.319
```


Entry 2:
# CsK2CrSe4
Theoretical PXRD pattern, a wavelength of 1.5418 Å. Input: a structure optimized by DFT (GGA-PBE).

Principal peaks in the range 2θ from 15° to 90°, sorted by position:
| d_spacing | Position (°2θ) | I (rel.) |
| --- | --- | --- |
| 5.800 | 15.28 | 48.7 |
| 3.570 | 24.94 | 100.0 |
| 3.400 | 26.21 | 77.4 |
| 2.900 | 30.83 | 27.6 |
| 2.618 | 34.26 | 29.0 |
| 2.251 | 40.06 | 42.8 |

Crystal structure
```
data_CsK2CrSe4
_chemical_formula_sum 'Cs1 K2 Cr1 Se4'
_cell_length_a 7.359
_cell_length_b 7.359
_cell_length_c 7.359
_cell_angle_alpha 112.26
_cell_angle_beta 112.26
_cell_angle_gamma 104.03
_symmetry_space_group_name_H-M 'P 1'
_symmetry_Int_Tables_number 1
loop_
_symmetry_equiv_pos_as_xyz
'x,y,z'
loop_
_atom_site_label
_atom_site_type_symbol
_atom_site_fract_x
_atom_site_fract_y
_atom_site_fract_z
Cs1 Cs 0.000 0.000 0.000
K1 K 0.250 0.750 0.500
K2 K 0.750 0.250 0.500
Cr1 Cr 0.500 0.500 0.000
Se1 Se 0.197 0.521 0.000
Se2 Se 0.479 0.479 0.676
Se3 Se 0.521 0.197 0.000
Se4 Se 0.803 0.803 0.324
```


Entry 3:
# CsLaCr
Theoretical PXRD pattern, a wavelength of 1.5418 Å. Input: a structure optimized by DFT (GGA-PBE).

Principal peaks in the range 2θ from 15° to 90°, sorted by position:
| d_spacing | Position (°2θ) | I (rel.) |
| --- | --- | --- |
| 4.155 | 21.38 | 100.0 |
| 3.622 | 24.58 | 56.5 |
| 3.558 | 25.03 | 79.6 |
| 3.539 | 25.17 | 69.1 |
| 3.021 | 29.57 | 53.6 |
| 2.469 | 36.39 | 73.7 |

Crystal structure
```
data_CsLaCr
_chemical_formula_sum 'Cs2 La2 Cr2'
_cell_length_a 4.044
_cell_length_b 4.582
_cell_length_c 14.962
_cell_angle_alpha 81.32
_cell_angle_beta 89.60
_cell_angle_gamma 89.79
_symmetry_space_group_name_H-M 'P 1'
_symmetry_Int_Tables_number 1
loop_
_symmetry_equiv_pos_as_xyz
'x,y,z'
loop_
_atom_site_label
_atom_site_type_symbol
_atom_site_fract_x
_atom_site_fract_y
_atom_site_fract_z
Cs1 Cs 0.238 0.330 0.344
Cs2 Cs 0.762 0.670 0.656
La1 La 0.276 0.051 0.897
La2 La 0.724 0.949 0.103
Cr1 Cr 0.195 0.481 0.035
Cr2 Cr 0.805 0.519 0.965
```